# Pm2FePO8
Simulated XRD peak list, Cu Kα, 1.54184 Å. Input: a PBE+U-relaxed structure.
Lines closer than 0.1° are merged.

Top 6 peaks for 10° ≤ 2θ ≤ 90°, sorted by position:
24.95 deg, I 91, hkl 1 0 1; 27.95 deg, I 100, hkl 1 1 0; 41.97 deg, I 18, hkl 0 1 2; 47.67 deg, I 41, hkl 2 1 1; 49.45 deg, I 17, hkl 3 0 0; 59.33 deg, I 22, hkl 1 2 2

Structural model:
```
data_Pm2FePO8
_cell_length_a 6.3843
_cell_length_b 6.3843
_cell_length_c 4.6736
_cell_angle_alpha 90.00
_cell_angle_beta 90.00
_cell_angle_gamma 120.00
_symmetry_space_group_name_H-M 'P 1'
_symmetry_Int_Tables_number 1
loop_
_symmetry_equiv_pos_as_xyz
'x,y,z'
loop_
_atom_site_label
_atom_site_type_symbol
_atom_site_fract_x
_atom_site_fract_y
_atom_site_fract_z
Pm1 Pm 0.3333 0.6667 0.2360
Pm2 Pm 0.6667 0.3333 0.7640
Fe1 Fe 0.0000 0.0000 0.5000
P1 P 0.0000 0.0000 0.0000
O1 O 0.1228 0.2456 0.2227
O2 O 0.1228 0.8772 0.2227
O3 O 0.2456 0.1228 0.7773
O4 O 0.3333 0.6667 0.7312
O5 O 0.6667 0.3333 0.2688
O6 O 0.7544 0.8772 0.2227
O7 O 0.8772 0.1228 0.7773
O8 O 0.8772 0.7544 0.7773
```